Starting from a structure optimized by DFT (GGA-PBE), the XRD peak list of Ba4IrOs was computed for Cu Kα X-rays.

The 10 most intense peaks (2θ = 15–90°), in order of rising 2θ:
- 2θ = 27.17°, intensity 38
- 2θ = 31.97°, intensity 100
- 2θ = 33.43°, intensity 29
- 2θ = 48.01°, intensity 16
- 2θ = 51.12°, intensity 36
- 2θ = 56.03°, intensity 30
- 2θ = 65.98°, intensity 13
- 2θ = 66.84°, intensity 12
- 2θ = 76.83°, intensity 8
- 2θ = 79.25°, intensity 23

Structure:
a = 6.5651 Å, b = 6.5651 Å, c = 6.5651 Å
α = 60.00°, β = 60.00°, γ = 60.00°
Atoms (fractional coordinates):
Ba 0.1249 0.1249 0.1249
Ba 0.1249 0.1249 0.6253
Ba 0.1249 0.6253 0.1249
Ba 0.6253 0.1249 0.1249
Ir 0.7500 0.7500 0.7500
Os 0.5000 0.5000 0.5000

---

Starting from a structure optimized by DFT (GGA-PBE), the XRD peak list of Zr5OsPt2 was computed for Cu Kα X-rays.

The 10 most intense peaks (2θ = 15–90°), in order of rising 2θ:
- 2θ = 25.53°, intensity 43
- 2θ = 27.56°, intensity 47
- 2θ = 34.23°, intensity 100
- 2θ = 34.53°, intensity 38
- 2θ = 35.13°, intensity 28
- 2θ = 37.12°, intensity 81
- 2θ = 38.70°, intensity 76
- 2θ = 41.47°, intensity 63
- 2θ = 48.17°, intensity 25
- 2θ = 72.80°, intensity 30

Structure:
a = 6.8709 Å, b = 11.0085 Å, c = 4.3550 Å
α = 90.00°, β = 90.00°, γ = 90.00°
Atoms (fractional coordinates):
Zr 0.0000 0.0000 0.0000
Zr 0.1508 0.2843 0.0000
Zr 0.1807 0.5874 0.5000
Zr 0.3193 0.0874 0.5000
Zr 0.3492 0.7843 0.0000
Zr 0.5000 0.5000 0.0000
Zr 0.6508 0.2157 0.0000
Zr 0.6807 0.9126 0.5000
Zr 0.8193 0.4126 0.5000
Zr 0.8492 0.7157 0.0000
Os 0.0000 0.5000 0.0000
Os 0.5000 0.0000 0.0000
Pt 0.0699 0.8367 0.5000
Pt 0.4301 0.3367 0.5000
Pt 0.5699 0.6633 0.5000
Pt 0.9301 0.1633 0.5000

---

Starting from a structure optimized by DFT (GGA-PBE), the XRD peak list of Er4Ga2C was computed for Cu Kα X-rays.

The 10 most intense peaks (2θ = 15–90°), in order of rising 2θ:
- 2θ = 24.68°, intensity 28
- 2θ = 32.54°, intensity 50
- 2θ = 32.61°, intensity 50
- 2θ = 32.72°, intensity 63
- 2θ = 34.42°, intensity 100
- 2θ = 37.50°, intensity 43
- 2θ = 50.60°, intensity 36
- 2θ = 57.10°, intensity 22
- 2θ = 66.68°, intensity 25
- 2θ = 69.73°, intensity 17

Structure:
a = 5.5781 Å, b = 6.5238 Å, c = 8.7710 Å
α = 90.00°, β = 99.42°, γ = 90.00°
Atoms (fractional coordinates):
Er 0.2108 0.2500 0.0990
Er 0.2684 0.5073 0.7569
Er 0.2684 0.9927 0.7569
Er 0.2791 0.7500 0.4096
Er 0.7209 0.2500 0.5904
Er 0.7316 0.0073 0.2431
Er 0.7316 0.4927 0.2431
Er 0.7892 0.7500 0.9010
Ga 0.1780 0.2500 0.4408
Ga 0.3027 0.7500 0.0671
Ga 0.6973 0.2500 0.9329
Ga 0.8220 0.7500 0.5592
C 0.4923 0.2500 0.3386
C 0.5077 0.7500 0.6614

---

Starting from a structure optimized by DFT (GGA-PBE), the XRD peak list of CaFeOs was computed for Cu Kα X-rays.

The 10 most intense peaks (2θ = 15–90°), in order of rising 2θ:
- 2θ = 20.38°, intensity 100
- 2θ = 23.43°, intensity 23
- 2θ = 33.68°, intensity 17
- 2θ = 39.42°, intensity 37
- 2θ = 40.69°, intensity 66
- 2θ = 41.44°, intensity 41
- 2θ = 42.41°, intensity 38
- 2θ = 49.24°, intensity 17
- 2θ = 65.01°, intensity 17
- 2θ = 71.15°, intensity 22

Structure:
a = 5.3037 Å, b = 5.3037 Å, c = 5.3037 Å
α = 121.90°, β = 119.77°, γ = 88.57°
Atoms (fractional coordinates):
Ca 0.3736 0.1236 0.2500
Ca 0.6264 0.8764 0.7500
Fe 0.0000 0.5000 0.5000
Fe 0.5000 0.5000 0.0000
Os 0.0000 0.0000 0.5000
Os 0.0000 0.5000 0.0000

---

Starting from a structure optimized by DFT (GGA-PBE), the XRD peak list of MnV2S5 was computed for Cu Kα X-rays.

The 10 most intense peaks (2θ = 15–90°), in order of rising 2θ:
- 2θ = 22.42°, intensity 53
- 2θ = 36.67°, intensity 89
- 2θ = 37.63°, intensity 100
- 2θ = 41.09°, intensity 87
- 2θ = 41.53°, intensity 56
- 2θ = 43.68°, intensity 78
- 2θ = 44.72°, intensity 58
- 2θ = 47.19°, intensity 89
- 2θ = 47.99°, intensity 62
- 2θ = 58.94°, intensity 35

Structure:
a = 6.6009 Å, b = 6.6009 Å, c = 6.3895 Å
α = 95.88°, β = 95.88°, γ = 141.09°
Atoms (fractional coordinates):
Mn 0.0000 0.0000 0.0000
V 0.2832 0.2832 0.6232
V 0.7168 0.7168 0.3768
S 0.0081 0.2439 0.3187
S 0.2439 0.0081 0.3187
S 0.5000 0.5000 0.0000
S 0.7561 0.9919 0.6813
S 0.9919 0.7561 0.6813

---

Repeat the first record exactly.
Starting from a structure optimized by DFT (GGA-PBE), the XRD peak list of Ba4IrOs was computed for Cu Kα X-rays.

The 10 most intense peaks (2θ = 15–90°), in order of rising 2θ:
- 2θ = 27.17°, intensity 38
- 2θ = 31.97°, intensity 100
- 2θ = 33.43°, intensity 29
- 2θ = 48.01°, intensity 16
- 2θ = 51.12°, intensity 36
- 2θ = 56.03°, intensity 30
- 2θ = 65.98°, intensity 13
- 2θ = 66.84°, intensity 12
- 2θ = 76.83°, intensity 8
- 2θ = 79.25°, intensity 23

Structure:
a = 6.5651 Å, b = 6.5651 Å, c = 6.5651 Å
α = 60.00°, β = 60.00°, γ = 60.00°
Atoms (fractional coordinates):
Ba 0.1249 0.1249 0.1249
Ba 0.1249 0.1249 0.6253
Ba 0.1249 0.6253 0.1249
Ba 0.6253 0.1249 0.1249
Ir 0.7500 0.7500 0.7500
Os 0.5000 0.5000 0.5000